1.
The following is a computed powder X-ray diffraction pattern of BaCa14Y. It was derived from a crystal structure in Alexandria, relaxed with PBE, using copper Kα.
Intensities are scaled so that the largest is 100.

Main lines, low angle first (5° ≤ 2θ ≤ 70°):
6.90 deg, I 22
27.30 deg, I 64
27.85 deg, I 39
29.90 deg, I 100
33.83 deg, I 36
44.36 deg, I 16
46.56 deg, I 26
50.56 deg, I 21
55.12 deg, I 30
56.32 deg, I 15

a b c (Å): 12.8152 7.7983 13.5217
angles (deg): 90.00 90.00 90.00
Space group Amm2 (No. 38)
Asymmetric unit:
Ba  0.0000  0.0000  0.0000
Ca  0.0000  0.2486  0.2499
Ca  0.2451  0.0000  0.6647
Ca  0.2505  0.2447  0.4161
Ca  0.2542  0.0000  0.1677
Ca  0.5000  0.0000  0.3330
Ca  0.5000  0.0000  0.8322
Ca  0.5000  0.2486  0.5833
Y  0.0000  0.0000  0.4996


2.
The following is a computed powder X-ray diffraction pattern of Ba2Ca3Zn2. It was derived from a crystal structure in Alexandria, relaxed with PBE, using copper Kα.
Intensities are scaled so that the largest is 100.

Main lines, low angle first (5° ≤ 2θ ≤ 70°):
5.23 deg, I 100
10.46 deg, I 30
26.20 deg, I 30
29.27 deg, I 56
31.03 deg, I 87
32.26 deg, I 63
33.15 deg, I 52
37.11 deg, I 27
46.11 deg, I 33
56.64 deg, I 30

a b c (Å): 3.9355 33.8156 3.9389
angles (deg): 90.00 90.00 90.00
Space group Cmmm (No. 65)
Asymmetric unit:
Ba  0.0000  0.1909  0.0000
Ca  0.0000  0.0809  0.0000
Ca  0.0000  0.5000  0.5000
Zn  0.0000  0.3730  0.5000


3.
The following is a computed powder X-ray diffraction pattern of BaCaZn4. It was derived from a crystal structure in Alexandria, relaxed with PBE, using copper Kα.
Intensities are scaled so that the largest is 100.

Main lines, low angle first (5° ≤ 2θ ≤ 70°):
15.18 deg, I 15
22.32 deg, I 15
30.64 deg, I 49
30.94 deg, I 100
39.36 deg, I 54
40.09 deg, I 26
42.22 deg, I 20
51.28 deg, I 24
59.09 deg, I 29
59.63 deg, I 14

a b c (Å): 4.4986 7.9769 8.5612
angles (deg): 90.00 90.00 90.00
Space group Immm (No. 71)
Asymmetric unit:
Ba  0.0000  0.0000  0.0000
Ca  0.0000  0.0000  0.5000
Zn  0.0000  0.3350  0.2366


4.
The following is a computed powder X-ray diffraction pattern of Ba3CaZn4. It was derived from a crystal structure in Alexandria, relaxed with PBE, using copper Kα.
Intensities are scaled so that the largest is 100.

Main lines, low angle first (5° ≤ 2θ ≤ 70°):
24.77 deg, I 7
27.87 deg, I 18
31.31 deg, I 61
31.75 deg, I 100
44.86 deg, I 22
51.73 deg, I 14
56.00 deg, I 38
56.83 deg, I 11
65.32 deg, I 7
69.74 deg, I 8

a b c (Å): 4.0406 4.0406 15.7350
angles (deg): 90.00 90.00 90.00
Space group P4/mmm (No. 123)
Asymmetric unit:
Ba  0.0000  0.0000  0.0000
Ba  0.0000  0.0000  0.2632
Ca  0.0000  0.0000  0.5000
Zn  0.5000  0.5000  0.1309
Zn  0.5000  0.5000  0.4064